Computed X-ray diffraction stick pattern of GdAlGe for a wavelength of 1.5418 Å, from a structure optimized by DFT (GGA-PBE).
Intensities are scaled so that the largest is 100.

Atomic structure:
```
data_GdAlGe
_cell_length_a 4.094
_cell_length_b 10.564
_cell_length_c 5.819
_cell_angle_alpha 90.00
_cell_angle_beta 90.00
_cell_angle_gamma 90.00
_symmetry_space_group_name_H-M 'C m c m'
_symmetry_Int_Tables_number 63
_symmetry_space_group_name_Hall '-C 2c 2'
loop_
_atom_site_label
_atom_site_fract_x
_atom_site_fract_y
_atom_site_fract_z
Gd1 0.000 0.189 0.250
Al1 0.000 0.500 0.000
Ge1 0.000 0.105 0.750
```

The 10 most intense peaks (10 to 90 degrees two-theta), by angle:
2θ = 23.30°, intensity 51
2θ = 27.95°, intensity 76
2θ = 30.73°, intensity 66
2θ = 33.57°, intensity 100
2θ = 37.05°, intensity 67
2θ = 37.39°, intensity 68
2θ = 38.92°, intensity 70
2θ = 44.24°, intensity 39
2θ = 46.15°, intensity 44
2θ = 59.28°, intensity 36